Starting from a PBE-relaxed structure, the powder XRD pattern of NaNbSnOs was simulated for Cu Kα.
Lines closer than 0.1° are merged.

Most intense lines, 2θ = 10–80°, sorted by position:
2θ (°)	I (rel.)
23.65	35.3
39.10	100.0
46.21	18.6
56.49	17.2
62.09	8.0
70.85	35.0
75.88	6.1

Crystal structure
Unit cell a=6.516 b=6.516 c=6.516 alpha=90.00 beta=90.00 gamma=90.00
Space group F-43m (No. 216)
Asymmetric unit:
Na: 0.000 0.000 0.000
Nb: 0.250 0.250 0.750
Sn: 0.250 0.250 0.250
Os: 0.000 0.000 0.500